This entry pairs a crystal structure of KCeSe4 with its computed XRD peak list. Radiation: Cu Kα (weighted mean of Kα1 and Kα2). Structure: a crystal structure in Alexandria, relaxed with GGA-PBE.
Neutral-atom scattering factors, no anomalous dispersion.

Structure:
a b c (Å): 6.374 6.374 8.454
angles (deg): 90.00 90.00 90.00
Space group P4/nbm (No. 125, origin choice 2)
One atom of each set of equivalent atoms:
K1 0.250 0.250 0.000
Ce1 0.250 0.250 0.500
Se1 0.113 0.613 0.290

Most intense lines, 2θ = 10–90°, by angle:
2θ (°)  Rel. int.  h k l
10.46  90  0 0 1
28.96  100  1 1 2
33.16  83  2 1 1
35.27  32  2 0 2
37.64  20  1 1 3
44.97  41  3 1 0
45.25  19  2 1 3
62.26  24  4 0 2